[1]
# RbNaLi6Si2O8
Calculated X-ray diffraction stick pattern, Cu Kα. Input: a structure optimized by DFT (PBE).
No peak broadening, texture or thermal motion is included.

Principal peaks in the range 2θ = 5–70°, sorted by position:
| Position (°2θ) | Rel. int. |
| --- | --- |
| 11.18 | 29 |
| 15.76 | 37 |
| 15.92 | 34 |
| 24.54 | 23 |
| 25.11 | 45 |
| 25.23 | 42 |
| 28.05 | 25 |
| 32.37 | 29 |
| 35.90 | 85 |
| 37.96 | 100 |
| 38.11 | 94 |
| 65.73 | 26 |

Structural model:
```
data_RbNaLi6Si2O8
_chemical_formula_sum 'Rb4 Na4 Li24 Si8 O32'
_symmetry_space_group_name_H-M 'C 1 2/m 1'
_symmetry_Int_Tables_number 12
_cell_length_a 15.8739
_cell_length_b 6.3629
_cell_length_c 7.8866
_cell_angle_alpha 90.00
_cell_angle_beta 90.57
_cell_angle_gamma 90.00
loop_
_symmetry_equiv_pos_as_xyz
'x,y,z'
'-x,-y,-z'
'-x,y,-z'
'x,-y,z'
'x+1/2,y+1/2,z'
'-x+1/2,-y+1/2,-z'
'-x+1/2,y+1/2,-z'
'x+1/2,-y+1/2,z'
loop_
_atom_site_label
_atom_site_type_symbol
_atom_site_fract_x
_atom_site_fract_y
_atom_site_fract_z
_atom_site_occupancy
Rb1 Rb 0.2446 0.0000 0.4689 1
Na1 Na 0.0000 0.2519 0.0000 1
Li1 Li 0.0668 0.0000 0.2826 1
Li2 Li 0.0694 0.2541 0.6265 1
Li3 Li 0.1405 0.5000 0.8660 1
Li4 Li 0.1870 0.2579 0.1337 1
Si1 Si 0.0707 0.5000 0.2917 1
Si2 Si 0.1460 0.0000 0.8596 1
O1 O 0.0322 0.5000 0.7441 1
O2 O 0.0530 0.0000 0.7611 1
O3 O 0.0992 0.2811 0.3906 1
O4 O 0.1165 0.5000 0.1031 1
O5 O 0.1304 0.0000 0.0673 1
O6 O 0.1952 0.2192 0.8045 1
```

---

[2]
# RbNa3Li12Ti4O16
Calculated X-ray diffraction stick pattern, Cu Kα. Input: a structure optimized by DFT (PBE).
No peak broadening, texture or thermal motion is included.

Principal peaks in the range 2θ = 5–70°, sorted by position:
| Position (°2θ) | Rel. int. |
| --- | --- |
| 15.57 | 11 |
| 22.05 | 100 |
| 24.73 | 34 |
| 27.04 | 13 |
| 35.25 | 48 |
| 36.96 | 84 |
| 41.98 | 19 |
| 44.94 | 18 |
| 50.71 | 23 |
| 55.75 | 11 |
| 64.39 | 30 |
| 67.71 | 12 |

Structural model:
```
data_RbNa3Li12Ti4O16
_chemical_formula_sum 'Rb2 Na6 Li24 Ti8 O32'
_symmetry_space_group_name_H-M 'I 4/m'
_symmetry_Int_Tables_number 87
_symmetry_space_group_name_Hall '-I 4'
_cell_length_a 11.3851
_cell_length_b 11.3851
_cell_length_c 6.5960
_cell_angle_alpha 90.00
_cell_angle_beta 90.00
_cell_angle_gamma 90.00
loop_
_atom_site_label
_atom_site_type_symbol
_atom_site_fract_x
_atom_site_fract_y
_atom_site_fract_z
_atom_site_occupancy
Rb1 Rb 0.0000 0.0000 0.0000 1
Na1 Na 0.0000 0.0000 0.5000 1
Na2 Na 0.0000 0.5000 0.2500 1
Li1 Li 0.0814 0.2789 0.0000 1
Li2 Li 0.0972 0.7700 0.2468 1
Ti1 Ti 0.0805 0.2773 0.5000 1
O1 O 0.0715 0.6674 0.5000 1
O2 O 0.0862 0.1882 0.2678 1
O3 O 0.0934 0.6774 0.0000 1
```